[1]
Simulated powder diffraction line list of La3Sm12Tl for Cu Kα (weighted mean of Kα1 and Kα2), from a GGA-PBE-relaxed structure.
Kinematic intensities with the Lorentz-polarization factor, no thermal factor.

Structural model:
Cell lengths 5.083, 5.083, 20.748 Å; angles 90.00, 90.00, 90.00 degrees
Space group P4/mmm (No. 123)
Asymmetric unit:
La 0.000 0.000 0.000 [1 per cell]
La 0.000 0.000 0.252 [2 per cell]
Sm 0.000 0.500 0.127 [4 per cell]
Sm 0.000 0.500 0.381 [4 per cell]
Sm 0.500 0.500 0.000 [1 per cell]
Sm 0.500 0.500 0.257 [2 per cell]
Sm 0.500 0.500 0.500 [1 per cell]
Tl 0.000 0.000 0.500 [1 per cell]

Principal peaks in the range 2θ = 5–70°, most intense first:
2theta  d (Å)  Rel. int.  (hkl)
30.25  2.954  100  1 1 4
35.32  2.541  33  2 0 0
60.28  1.535  28  3 1 4
50.26  1.815  24  2 0 8
34.58  2.594  17  0 0 8
59.31  1.558  14  1 1 12
62.92  1.477  12  2 2 8
50.81  1.797  12  2 2 0


[2]
Simulated powder diffraction line list of La2Sm3Tl3 for Cu Kα (weighted mean of Kα1 and Kα2), from a GGA-PBE-relaxed structure.
Kinematic intensities with the Lorentz-polarization factor, no thermal factor.

Structural model:
Cell lengths 4.591, 5.029, 21.142 Å; angles 90.00, 90.00, 90.00 degrees
Space group Immm (No. 71)
Asymmetric unit:
La 0.000 0.000 0.240 [4 per cell]
Sm 0.000 0.000 0.000 [2 per cell]
Sm 0.000 0.500 0.117 [4 per cell]
Tl 0.000 0.000 0.500 [2 per cell]
Tl 0.000 0.500 0.376 [4 per cell]

Principal peaks in the range 2θ = 5–70°, most intense first:
2theta  d (Å)  Rel. int.  (hkl)
31.34  2.854  100  1 1 4
33.92  2.643  19  0 0 8
35.71  2.515  18  0 2 0
61.44  1.509  15  1 3 4
39.25  2.296  14  2 0 0
59.09  1.563  14  1 1 12
50.07  1.822  13  0 2 8
66.24  1.411  12  3 1 4


[3]
Simulated powder diffraction line list of La2Sm3Tl4 for Cu Kα (weighted mean of Kα1 and Kα2), from a GGA-PBE-relaxed structure.
Kinematic intensities with the Lorentz-polarization factor, no thermal factor.

Structural model:
Cell lengths 9.441, 5.444, 10.864 Å; angles 90.00, 90.07, 90.00 degrees
Space group C2/m (No. 12)
Asymmetric unit:
La 0.167 0.000 0.219 [4 per cell]
Sm 0.000 0.500 0.000 [2 per cell]
Sm 0.166 0.000 0.576 [4 per cell]
Tl 0.000 0.500 0.352 [4 per cell]
Tl 0.167 0.000 0.898 [4 per cell]

Principal peaks in the range 2θ = 5–70°, most intense first:
2theta  d (Å)  Rel. int.  (hkl)
31.13  2.873  100  2 0 3
32.88  2.724  93  3 1 0
57.62  1.600  35  4 2 -3
45.91  1.977  35  2 2 3
58.71  1.573  18  6 0 0
54.26  1.690  18  1 1 6
68.96  1.362  12  6 2 0
64.92  1.436  10  2 2 -6


[4]
Simulated powder diffraction line list of La4SmTl for Cu Kα (weighted mean of Kα1 and Kα2), from a GGA-PBE-relaxed structure.
Kinematic intensities with the Lorentz-polarization factor, no thermal factor.

Structural model:
Cell lengths 6.292, 7.094, 8.919 Å; angles 90.00, 91.03, 90.00 degrees
Space group P2_1/m (No. 11)
Asymmetric unit:
La 0.000 0.000 0.000 [2 per cell]
La 0.342 0.007 0.340 [4 per cell]
La 0.478 0.750 0.983 [2 per cell]
Sm 0.160 0.250 0.669 [2 per cell]
Tl 0.155 0.750 0.654 [2 per cell]

Principal peaks in the range 2θ = 5–70°, most intense first:
2theta  d (Å)  Rel. int.  (hkl)
30.54  2.927  100  1 2 -1
35.49  2.529  65  1 2 2
30.06  2.972  50  0 0 3
30.30  2.950  49  2 0 1
34.60  2.592  36  2 0 -2
50.58  1.805  34  3 2 0
50.26  1.815  24  1 2 -4
59.50  1.554  22  3 2 -3